No. 1
Computed PXRD pattern
Compound: Ag3Mo
Radiation: Cu Kα (weighted mean of Kα1 and Kα2)
Structure: the PBE geometry in Alexandria
Neutral-atom scattering factors, no anomalous dispersion.

Atomic structure:
```
data_Ag3Mo
_chemical_formula_sum 'Ag3 Mo1'
_cell_length_a 2.8388
_cell_length_b 2.8388
_cell_length_c 9.8523
_cell_angle_alpha 90.00
_cell_angle_beta 90.00
_cell_angle_gamma 120.00
_symmetry_space_group_name_H-M 'P -6 m 2'
_symmetry_Int_Tables_number 187
_symmetry_space_group_name_Hall 'P -6 2'
loop_
_atom_site_label
_atom_site_type_symbol
_atom_site_fract_x
_atom_site_fract_y
_atom_site_fract_z
Ag1 Ag 0.0000 0.0000 0.0000
Ag2 Ag 0.6667 0.3333 0.2533
Mo1 Mo 0.0000 0.0000 0.5000
```

Most intense lines, 2θ from 5° to 70°, most intense first:
index  2θ (°)  Rel. int.
1 0 2  41.0  1000
0 0 4  36.5  545
1 0 6  68.7  201
1 0 4  52.6  156
1 1 0  65.8  154

***

No. 2
Computed PXRD pattern
Compound: NiAg2Mo
Radiation: Cu Kα (weighted mean of Kα1 and Kα2)
Structure: the PBE geometry in Alexandria
Neutral-atom scattering factors, no anomalous dispersion.

Atomic structure:
```
data_NiAg2Mo
_chemical_formula_sum 'Ni2 Ag4 Mo2'
_cell_length_a 9.0694
_cell_length_b 2.7072
_cell_length_c 5.1716
_cell_angle_alpha 90.00
_cell_angle_beta 98.88
_cell_angle_gamma 90.00
_symmetry_space_group_name_H-M 'C 1 m 1'
_symmetry_Int_Tables_number 8
loop_
_symmetry_equiv_pos_as_xyz
'x,y,z'
'x,-y,z'
'x+1/2,y+1/2,z'
'x+1/2,-y+1/2,z'
loop_
_atom_site_label
_atom_site_type_symbol
_atom_site_fract_x
_atom_site_fract_y
_atom_site_fract_z
Ni1 Ni 0.0000 0.0000 0.0000
Ag1 Ag 0.9995 0.5000 0.4644
Ag2 Ag 0.2567 0.0000 0.7062
Mo1 Mo 0.2408 0.5000 0.1783
```

Most intense lines, 2θ from 5° to 70°, most intense first:
index  2θ (°)  Rel. int.
1 1 1  39.7  1000
3 1 -1  46.9  612
2 0 -2  37.7  555
4 0 0  40.3  483
2 0 2  43.4  353
6 0 -2  67.6  275
1 1 -3  64.1  196
0 2 0  69.4  91
2 0 1  28.4  72
0 0 2  35.1  37